No. 1
For BeZn2Ni, a structure optimized by DFT (PBE) gives the theoretical powder XRD pattern in this record (Cu Kα).
Lines closer than 0.1° are merged.

Most intense lines, 10° ≤ 2θ ≤ 90°, sorted by position:
| 2theta | intensity | h k l |
| --- | --- | --- |
| 26.38 | 15 | 0 1 1 |
| 28.33 | 24 | 1 1 0 |
| 29.55 | 27 | 1 0 1 |
| 39.54 | 11 | 0 0 2 |
| 40.96 | 30 | 0 2 1 |
| 44.88 | 40 | 2 0 0 |
| 45.71 | 60 | 1 0 2 |
| 46.98 | 100 | 1 2 1 |
| 62.37 | 16 | 2 2 1 |
| 72.69 | 18 | 0 2 3 |
| 84.29 | 16 | 3 2 1 |
| 89.65 | 19 | 2 2 3 |

Structural model:
Lattice parameters (Å, degrees): 4.0396 5.0332 4.5584 90.00 90.00 90.00
Space group Pmmn (No. 59, origin choice 2)
Asymmetric unit:
Be (0.2500, 0.2500, 0.1360) [2 per cell]
Zn (0.2500, 0.5025, 0.6694) [4 per cell]
Ni (0.2500, 0.7500, 0.1438) [2 per cell]

=====

No. 2
For ZrBeNi, a structure optimized by DFT (PBE) gives the theoretical powder XRD pattern in this record (Cu Kα).
Lines closer than 0.1° are merged.

Most intense lines, 10° ≤ 2θ ≤ 90°, sorted by position:
| 2theta | intensity | h k l |
| --- | --- | --- |
| 26.83 | 100 | 1 1 1 |
| 31.08 | 5 | 2 0 0 |
| 44.53 | 84 | 2 2 0 |
| 52.76 | 44 | 3 1 1 |
| 55.30 | 1 | 2 2 2 |
| 64.81 | 13 | 4 0 0 |
| 71.46 | 17 | 3 3 1 |
| 73.62 | 2 | 4 2 0 |
| 82.04 | 26 | 4 2 2 |
| 88.24 | 13 | 5 1 1 |

Structural model:
Lattice parameters (Å, degrees): 5.7544 5.7544 5.7544 90.00 90.00 90.00
Space group F-43m (No. 216)
Asymmetric unit:
Zr (0.0000, 0.0000, 0.0000) [4 per cell]
Be (0.0000, 0.0000, 0.5000) [4 per cell]
Ni (0.2500, 0.2500, 0.7500) [4 per cell]

=====

No. 3
For Zr2Be2Ni3, a structure optimized by DFT (PBE) gives the theoretical powder XRD pattern in this record (Cu Kα).
Lines closer than 0.1° are merged.

Most intense lines, 10° ≤ 2θ ≤ 90°, sorted by position:
| 2theta | intensity | h k l |
| --- | --- | --- |
| 13.33 | 16 | 0 0 3 |
| 26.42 | 87 | 0 1 2 |
| 26.85 | 26 | 0 0 6 |
| 40.46 | 20 | 1 0 7 |
| 43.73 | 100 | 1 1 0 |
| 44.28 | 85 | 0 1 8 |
| 51.81 | 13 | 2 0 2 |
| 52.06 | 24 | 1 1 6 |
| 63.99 | 27 | 2 0 8 |
| 80.33 | 15 | 3 0 0 |
| 80.72 | 27 | 1 2 8 |
| 87.20 | 11 | 1 1 15 |

Structural model:
Lattice parameters (Å, degrees): 4.1404 4.1404 19.9237 90.00 90.00 120.00
Space group R3m (No. 160, hexagonal axes)
Asymmetric unit:
Zr (0.0000, 0.0000, 0.0000) [3 per cell]
Zr (0.0000, 0.0000, 0.4834) [3 per cell]
Be (0.0000, 0.0000, 0.2401) [3 per cell]
Be (0.0000, 0.0000, 0.7384) [3 per cell]
Ni (0.0000, 0.0000, 0.3583) [3 per cell]
Ni (0.0000, 0.0000, 0.6125) [3 per cell]
Ni (0.0000, 0.0000, 0.8702) [3 per cell]

=====

No. 4
For Be2Os2O5, a structure optimized by DFT (PBE) gives the theoretical powder XRD pattern in this record (Cu Kα).
Lines closer than 0.1° are merged.

Most intense lines, 10° ≤ 2θ ≤ 90°, sorted by position:
| 2theta | intensity | h k l |
| --- | --- | --- |
| 25.52 | 52 | 0 0 2 |
| 26.49 | 100 | 1 0 0 |
| 37.11 | 97 | 1 0 2 |
| 37.81 | 38 | 1 1 0 |
| 46.17 | 67 | 1 1 2 |
| 54.54 | 25 | 2 0 0 |
| 59.68 | 22 | 1 0 4 |
| 61.14 | 20 | 2 0 2 |
| 61.62 | 20 | 2 1 0 |
| 66.43 | 22 | 1 1 4 |
| 67.81 | 35 | 2 1 2 |
| 85.12 | 17 | 2 1 4 |

Structural model:
Lattice parameters (Å, degrees): 3.3654 3.3654 6.9811 90.00 90.00 90.00
Space group P4/mmm (No. 123)
Asymmetric unit:
Be (0.0000, 0.0000, 0.2479) [2 per cell]
Os (0.5000, 0.5000, 0.0000) [1 per cell]
Os (0.5000, 0.5000, 0.5000) [1 per cell]
O (0.0000, 0.0000, 0.5000) [1 per cell]
O (0.0000, 0.5000, 0.1785) [4 per cell]